This entry pairs a crystal structure of SrZn3O4 with its computed powder diffractogram. Radiation: λ = 1.5418 Å (Cu Kα). Structure: a crystal structure in Alexandria, relaxed with PBE.
No peak broadening, texture or thermal motion is included.

Main lines, low angle first (2θ from 15° to 90°):
Position (°2θ)	I/Imax
30.53	42
30.70	64
33.74	38
33.93	100
34.62	47
35.11	62
54.16	22
54.48	60
65.33	22
66.19	17

Cell and atoms:
Lattice parameters (Å, degrees): 3.3872 5.8310 5.8310 87.24 90.00 90.00
Positions (direct):
1 Sr 0.0000 0.0000 0.0000
2 Zn 0.0000 0.3810 0.3810
3 Zn 0.5000 0.4722 0.8332
4 Zn 0.5000 0.8332 0.4722
5 O 0.0000 0.3374 0.7307
6 O 0.0000 0.7307 0.3374
7 O 0.5000 0.2424 0.2424
8 O 0.5000 0.8021 0.8021

---

This entry pairs a crystal structure of SrZnO2 with its computed powder diffractogram. Radiation: λ = 1.5418 Å (Cu Kα). Structure: a crystal structure in Alexandria, relaxed with PBE.
No peak broadening, texture or thermal motion is included.

Main lines, low angle first (2θ from 15° to 90°):
Position (°2θ)	I/Imax
28.14	50
31.80	39
32.40	100
42.97	25
49.80	30
57.03	28
60.30	27
60.68	15
79.08	8
87.41	8

Cell and atoms:
Lattice parameters (Å, degrees): 6.3494 7.3194 5.6282 90.00 90.00 90.00
Positions (direct):
1 Sr 0.1225 0.1158 0.0000
2 Sr 0.3775 0.6158 0.5000
3 Sr 0.6225 0.3842 0.0000
4 Sr 0.8775 0.8842 0.5000
5 Zn 0.0726 0.6302 0.0122
6 Zn 0.4274 0.1302 0.5122
7 Zn 0.5726 0.8698 0.0122
8 Zn 0.9274 0.3698 0.5122
9 O 0.0241 0.6006 0.3619
10 O 0.1112 0.1488 0.4395
11 O 0.3888 0.6488 0.9395
12 O 0.4759 0.1006 0.8619
13 O 0.5241 0.8994 0.3619
14 O 0.6112 0.3512 0.4395
15 O 0.8888 0.8512 0.9395
16 O 0.9759 0.3994 0.8619

---

This entry pairs a crystal structure of SrZnO5 with its computed powder diffractogram. Radiation: λ = 1.5418 Å (Cu Kα). Structure: a crystal structure in Alexandria, relaxed with PBE.
No peak broadening, texture or thermal motion is included.

Main lines, low angle first (2θ from 15° to 90°):
Position (°2θ)	I/Imax
17.47	100
18.35	32
27.63	57
28.43	42
29.59	58
31.27	25
32.81	26
39.65	22
42.55	24
47.17	25

Cell and atoms:
Lattice parameters (Å, degrees): 5.7960 6.1687 7.4966 92.03 109.04 109.84
Positions (direct):
1 Sr 0.1047 0.0281 0.2638
2 Sr 0.8953 0.9719 0.7362
3 Zn 0.2485 0.6064 0.1078
4 Zn 0.7515 0.3936 0.8922
5 O 0.0590 0.2855 0.0194
6 O 0.2051 0.6486 0.4246
7 O 0.2684 0.1049 0.6211
8 O 0.4037 0.6594 0.5696
9 O 0.4856 0.0949 0.7713
10 O 0.5144 0.9051 0.2287
11 O 0.5963 0.3406 0.4304
12 O 0.7316 0.8951 0.3789
13 O 0.7949 0.3514 0.5754
14 O 0.9410 0.7145 0.9806

---

This entry pairs a crystal structure of Sr2Zr7O16 with its computed powder diffractogram. Radiation: λ = 1.5418 Å (Cu Kα). Structure: a crystal structure in Alexandria, relaxed with PBE.
No peak broadening, texture or thermal motion is included.

Main lines, low angle first (2θ from 15° to 90°):
Position (°2θ)	I/Imax
29.23	100
29.65	32
34.00	33
48.57	31
49.13	32
57.70	11
57.95	23
58.44	14
71.58	9
78.71	8

Cell and atoms:
Lattice parameters (Å, degrees): 9.7844 9.7844 9.7844 38.75 38.75 38.75
Positions (direct):
1 Sr 0.1666 0.1666 0.1666
2 Sr 0.8334 0.8334 0.8334
3 Zr 0.0123 0.7564 0.3860
4 Zr 0.2436 0.6140 0.9877
5 Zr 0.3860 0.0123 0.7564
6 Zr 0.5000 0.5000 0.5000
7 Zr 0.6140 0.9877 0.2436
8 Zr 0.7564 0.3860 0.0123
9 Zr 0.9877 0.2436 0.6140
10 O 0.0721 0.0721 0.0721
11 O 0.0859 0.3498 0.6543
12 O 0.1770 0.7326 0.4639
13 O 0.2632 0.2632 0.2632
14 O 0.2674 0.5361 0.8230
15 O 0.3457 0.9141 0.6502
16 O 0.3498 0.6543 0.0859
17 O 0.4639 0.1770 0.7326
18 O 0.5361 0.8230 0.2674
19 O 0.6502 0.3457 0.9141
20 O 0.6543 0.0859 0.3498
21 O 0.7326 0.4639 0.1770
22 O 0.7368 0.7368 0.7368
23 O 0.8230 0.2674 0.5361
24 O 0.9141 0.6502 0.3457
25 O 0.9279 0.9279 0.9279

---

This entry pairs a crystal structure of Ta2O7 with its computed powder diffractogram. Radiation: λ = 1.5418 Å (Cu Kα). Structure: a crystal structure in Alexandria, relaxed with PBE.
No peak broadening, texture or thermal motion is included.

Main lines, low angle first (2θ from 15° to 90°):
Position (°2θ)	I/Imax
27.77	100
29.04	100
33.65	30
36.77	22
44.17	34
48.33	46
50.70	31
57.37	45
62.23	21
67.54	24

Cell and atoms:
Lattice parameters (Å, degrees): 7.5331 7.5331 7.5331 60.00 60.00 60.00
Positions (direct):
1 Ta 0.0000 0.0000 0.0000
2 Ta 0.0000 0.0000 0.5000
3 Ta 0.0000 0.5000 0.0000
4 Ta 0.5000 0.0000 0.0000
5 O 0.0589 0.0589 0.6911
6 O 0.0589 0.6911 0.0589
7 O 0.0589 0.6911 0.6911
8 O 0.3089 0.3089 0.9411
9 O 0.3089 0.9411 0.3089
10 O 0.3089 0.9411 0.9411
11 O 0.3750 0.3750 0.3750
12 O 0.6250 0.6250 0.6250
13 O 0.6911 0.0589 0.0589
14 O 0.6911 0.0589 0.6911
15 O 0.6911 0.6911 0.0589
16 O 0.9411 0.3089 0.3089
17 O 0.9411 0.3089 0.9411
18 O 0.9411 0.9411 0.3089

---

This entry pairs a crystal structure of Ta4O with its computed powder diffractogram. Radiation: λ = 1.5418 Å (Cu Kα). Structure: a crystal structure in Alexandria, relaxed with PBE.
No peak broadening, texture or thermal motion is included.

Main lines, low angle first (2θ from 15° to 90°):
Position (°2θ)	I/Imax
36.75	100
39.11	51
46.14	6
49.22	9
56.51	17
64.59	16
69.32	32
78.17	9
83.83	4
84.05	6

Cell and atoms:
Lattice parameters (Å, degrees): 3.2572 3.2572 7.4045 90.00 90.00 90.00
Positions (direct):
1 Ta 0.0000 0.0000 0.0000
2 Ta 0.0000 0.0000 0.5000
3 Ta 0.5000 0.5000 0.2162
4 Ta 0.5000 0.5000 0.7838
5 O 0.5000 0.5000 0.5000

---

This entry pairs a crystal structure of Ta10O9 with its computed powder diffractogram. Radiation: λ = 1.5418 Å (Cu Kα). Structure: a crystal structure in Alexandria, relaxed with PBE.
No peak broadening, texture or thermal motion is included.

Main lines, low angle first (2θ from 15° to 90°):
Position (°2θ)	I/Imax
27.99	95
34.61	18
36.28	43
36.92	100
37.20	35
39.93	14
42.59	76
51.04	40
63.95	23
74.06	15

Cell and atoms:
Lattice parameters (Å, degrees): 16.1072 16.1072 5.3013 96.67 96.67 9.96
Positions (direct):
1 Ta 0.0000 0.0000 0.0000
2 Ta 0.1058 0.1058 0.4026
3 Ta 0.1963 0.1963 0.7569
4 Ta 0.2958 0.2958 0.9515
5 Ta 0.3975 0.3975 0.2145
6 Ta 0.5001 0.5001 0.4969
7 Ta 0.6084 0.6084 0.9141
8 Ta 0.6871 0.6871 0.2168
9 Ta 0.7939 0.7939 0.4457
10 Ta 0.8969 0.8969 0.7146
11 O 0.0662 0.0662 0.0544
12 O 0.2481 0.2481 0.2365
13 O 0.3502 0.3502 0.4888
14 O 0.4529 0.4529 0.7652
15 O 0.5643 0.5643 0.5406
16 O 0.6466 0.6466 0.6084
17 O 0.7490 0.7490 0.7450
18 O 0.8511 0.8511 0.9959
19 O 0.9535 0.9535 0.2702

---

This entry pairs a crystal structure of Ta11O2 with its computed powder diffractogram. Radiation: λ = 1.5418 Å (Cu Kα). Structure: a crystal structure in Alexandria, relaxed with PBE.
No peak broadening, texture or thermal motion is included.

Main lines, low angle first (2θ from 15° to 90°):
Position (°2θ)	I/Imax
37.72	50
38.03	100
38.09	49
38.34	49
38.52	50
54.78	16
55.02	16
55.24	18
68.35	22
69.31	17

Cell and atoms:
Lattice parameters (Å, degrees): 7.2960 8.2649 8.6242 109.04 92.20 112.40
Positions (direct):
1 Ta 0.0000 0.0000 0.0000
2 Ta 0.0011 0.3679 0.5729
3 Ta 0.0398 0.6346 0.4536
4 Ta 0.0682 0.3492 0.9334
5 Ta 0.0965 0.9847 0.3845
6 Ta 0.1983 0.3133 0.2980
7 Ta 0.2957 0.6462 0.2408
8 Ta 0.3265 0.3166 0.6777
9 Ta 0.3553 0.9653 0.1477
10 Ta 0.4061 0.6433 0.5967
11 Ta 0.4320 0.3101 0.0407
12 Ta 0.4343 0.9657 0.5208
13 Ta 0.5153 0.6573 0.9631
14 Ta 0.5785 0.3219 0.4307
15 Ta 0.5892 0.9960 0.8851
16 Ta 0.6629 0.6564 0.3453
17 Ta 0.6914 0.3358 0.8015
18 Ta 0.7366 0.9894 0.2614
19 Ta 0.7825 0.6663 0.7177
20 Ta 0.8164 0.3168 0.1715
21 Ta 0.8374 0.0255 0.6466
22 Ta 0.9135 0.6613 0.0839
23 O 0.2058 0.6643 0.0121
24 O 0.2921 0.0138 0.9357
25 O 0.7127 0.1645 0.5295
26 O 0.9362 0.8278 0.5627

---

This entry pairs a crystal structure of Ta2O5 with its computed powder diffractogram. Radiation: λ = 1.5418 Å (Cu Kα). Structure: a crystal structure in Alexandria, relaxed with PBE.
No peak broadening, texture or thermal motion is included.

Main lines, low angle first (2θ from 15° to 90°):
Position (°2θ)	I/Imax
27.22	100
31.75	33
33.23	57
35.86	19
37.76	18
49.99	19
50.13	21
53.05	16
55.73	11
61.03	11

Cell and atoms:
Lattice parameters (Å, degrees): 6.1688 6.1688 5.2751 97.21 97.21 45.44
Positions (direct):
1 Ta 0.1157 0.6499 0.9155
2 Ta 0.3501 0.8843 0.5845
3 Ta 0.6499 0.1157 0.4155
4 Ta 0.8843 0.3501 0.0845
5 O 0.0527 0.9473 0.2500
6 O 0.1287 0.3029 0.8270
7 O 0.3029 0.1287 0.3270
8 O 0.3178 0.5018 0.5856
9 O 0.4982 0.6822 0.9144
10 O 0.5018 0.3178 0.0856
11 O 0.6822 0.4982 0.4144
12 O 0.6971 0.8713 0.6730
13 O 0.8713 0.6971 0.1730
14 O 0.9473 0.0527 0.7500